# 1
For KYTe2O6, a DFT-relaxed cell (GGA-PBE, the Materials Project) gives the calculated powder diffractogram in this record (a wavelength of 1.5418 Å).
Kinematic intensities with the Lorentz-polarization factor, no thermal factor.

Largest 12 diffraction maxima, low angle first, 10 to 90 degrees two-theta:
18.9 deg, intensity 22; 24.1 deg, intensity 46; 26.3 deg, intensity 36; 28.2 deg, intensity 100; 29.3 deg, intensity 37; 29.7 deg, intensity 55; 34.7 deg, intensity 19; 38.3 deg, intensity 16; 51.3 deg, intensity 18; 51.5 deg, intensity 15; 51.7 deg, intensity 15; 54.1 deg, intensity 18

Atomic structure:
```
KYTe2O6
1.0
13.8530 0.0000 0.0000
0.0000 6.0950 0.0000
0.0000 0.0000 8.7408
K Y Te O
4 4 8 24
direct
0.1290 0.2500 0.0037
0.3710 0.7500 0.5037
0.6290 0.2500 0.4963
0.8710 0.7500 0.9963
0.0915 0.7500 0.2887
0.4085 0.2500 0.7887
0.5915 0.7500 0.2113
0.9085 0.2500 0.7113
0.0786 0.7500 0.7206
0.1972 0.2500 0.5040
0.3028 0.7500 0.0040
0.4214 0.2500 0.2206
0.5786 0.7500 0.7794
0.6972 0.2500 0.9960
0.8028 0.7500 0.4960
0.9214 0.2500 0.2794
0.0095 0.5118 0.8052
0.0095 0.9882 0.8052
0.0228 0.7500 0.5231
0.1694 0.7500 0.0548
0.2004 0.0102 0.3671
0.2004 0.4898 0.3671
0.2996 0.5102 0.8671
0.2996 0.9898 0.8671
0.3306 0.2500 0.5548
0.4772 0.2500 0.0231
0.4905 0.0118 0.3052
0.4905 0.4882 0.3052
0.5095 0.5118 0.6948
0.5095 0.9882 0.6948
0.5228 0.7500 0.9769
0.6694 0.7500 0.4452
0.7004 0.0102 0.1329
0.7004 0.4898 0.1329
0.7996 0.5102 0.6329
0.7996 0.9898 0.6329
0.8306 0.2500 0.9452
0.9772 0.2500 0.4769
0.9905 0.0118 0.1948
0.9905 0.4882 0.1948
```


# 2
For K2Ti4O9, a DFT-relaxed cell (GGA-PBE, the Materials Project) gives the calculated powder diffractogram in this record (a wavelength of 1.5418 Å).
Kinematic intensities with the Lorentz-polarization factor, no thermal factor.

Largest 12 diffraction maxima, low angle first, 10 to 90 degrees two-theta:
14.1 deg, intensity 53; 27.8 deg, intensity 90; 30.0 deg, intensity 100; 30.6 deg, intensity 64; 32.3 deg, intensity 52; 33.1 deg, intensity 29; 33.4 deg, intensity 49; 40.5 deg, intensity 60; 42.7 deg, intensity 57; 47.8 deg, intensity 64; 64.4 deg, intensity 24; 66.0 deg, intensity 24

Atomic structure:
```
K2Ti4O9
1.0
9.3133 -1.9031 0.0000
9.3133 1.9031 0.0000
-3.4471 0.0000 11.6725
K Ti O
4 8 18
direct
0.0236 0.0236 0.3322
0.0847 0.0847 0.0842
0.9153 0.9153 0.9158
0.9764 0.9764 0.6678
0.2543 0.2543 0.8341
0.2970 0.2970 0.6038
0.3378 0.3378 0.3747
0.3776 0.3776 0.1379
0.6224 0.6224 0.8621
0.6622 0.6622 0.6253
0.7030 0.7030 0.3962
0.7457 0.7457 0.1659
0.1517 0.1517 0.8584
0.1923 0.1923 0.6419
0.2293 0.2293 0.4211
0.2667 0.2667 0.1999
0.3179 0.3179 0.9726
0.3389 0.3389 0.7567
0.3770 0.3770 0.5367
0.4153 0.4153 0.3159
0.4665 0.4665 0.1194
0.5335 0.5335 0.8806
0.5847 0.5847 0.6841
0.6230 0.6230 0.4633
0.6611 0.6611 0.2433
0.6821 0.6821 0.0274
0.7333 0.7333 0.8001
0.7707 0.7707 0.5789
0.8077 0.8077 0.3581
0.8483 0.8483 0.1416
```


# 3
For K3Ti8O17, a DFT-relaxed cell (GGA-PBE, the Materials Project) gives the calculated powder diffractogram in this record (a wavelength of 1.5418 Å).
Kinematic intensities with the Lorentz-polarization factor, no thermal factor.

Largest 12 diffraction maxima, low angle first, 10 to 90 degrees two-theta:
11.2 deg, intensity 100; 12.8 deg, intensity 50; 23.9 deg, intensity 19; 28.9 deg, intensity 69; 29.4 deg, intensity 70; 30.5 deg, intensity 46; 33.1 deg, intensity 63; 34.2 deg, intensity 23; 41.8 deg, intensity 43; 42.7 deg, intensity 41; 47.5 deg, intensity 51; 65.8 deg, intensity 21

Atomic structure:
```
K3Ti8O17
1.0
7.6491 0.0000 0.0000
-1.9179 7.9232 0.0000
-0.0023 -1.1311 12.1678
K Ti O
6 16 34
direct
0.2211 0.3846 0.1672
0.2449 0.4798 0.4604
0.2781 0.6130 0.8243
0.7219 0.3870 0.1757
0.7551 0.5202 0.5396
0.7789 0.6154 0.8328
0.0564 0.7235 0.0701
0.0753 0.8034 0.3245
0.1001 0.8946 0.5775
0.1211 0.9847 0.8302
0.3787 0.0150 0.1698
0.4027 0.1055 0.4222
0.4235 0.1973 0.6753
0.4446 0.2764 0.9301
0.5554 0.7236 0.0699
0.5765 0.8027 0.3247
0.5973 0.8945 0.5778
0.6213 0.9850 0.8302
0.8789 0.0153 0.1698
0.8999 0.1054 0.4225
0.9247 0.1966 0.6755
0.9436 0.2765 0.9299
0.0000 0.5000 0.0000
0.0337 0.6260 0.2249
0.0543 0.7153 0.4633
0.0718 0.7998 0.7063
0.0858 0.8440 0.9354
0.1142 0.9584 0.1851
0.1379 0.0510 0.4335
0.1577 0.1303 0.6752
0.1814 0.2268 0.9117
0.3188 0.7740 0.0880
0.3425 0.8698 0.3252
0.3624 0.9502 0.5673
0.3852 0.0408 0.8144
0.4144 0.1560 0.0646
0.4219 0.2006 0.2937
0.4467 0.2854 0.5366
0.4711 0.3744 0.7752
0.5000 0.5000 0.0000
0.5289 0.6256 0.2248
0.5533 0.7146 0.4634
0.5781 0.7994 0.7063
0.5856 0.8440 0.9354
0.6148 0.9592 0.1856
0.6376 0.0498 0.4327
0.6575 0.1302 0.6748
0.6812 0.2260 0.9120
0.8186 0.7732 0.0883
0.8423 0.8697 0.3248
0.8621 0.9490 0.5665
0.8858 0.0416 0.8149
0.9142 0.1560 0.0646
0.9282 0.2002 0.2937
0.9457 0.2847 0.5367
0.9663 0.3740 0.7751
```


# 4
For K3Ti8O17, a DFT-relaxed cell (GGA-PBE, the Materials Project) gives the calculated powder diffractogram in this record (a wavelength of 1.5418 Å).
Kinematic intensities with the Lorentz-polarization factor, no thermal factor.

Largest 12 diffraction maxima, low angle first, 10 to 90 degrees two-theta:
11.3 deg, intensity 100; 12.8 deg, intensity 50; 28.9 deg, intensity 70; 29.4 deg, intensity 71; 30.5 deg, intensity 47; 33.0 deg, intensity 23; 33.2 deg, intensity 51; 34.3 deg, intensity 22; 41.8 deg, intensity 43; 42.8 deg, intensity 44; 47.4 deg, intensity 52; 65.8 deg, intensity 21

Atomic structure:
```
K3Ti8O17
1.0
7.8952 -1.9162 0.0000
7.8952 1.9162 0.0000
-1.1277 0.0000 12.1571
K Ti O
3 8 17
direct
0.0000 0.0000 0.0000
0.0478 0.0478 0.2940
0.1144 0.1144 0.6562
0.3162 0.3162 0.0019
0.3588 0.3588 0.2548
0.4063 0.4063 0.5063
0.4463 0.4463 0.7607
0.6695 0.6695 0.9012
0.7099 0.7099 0.1556
0.7536 0.7536 0.4098
0.7998 0.7998 0.6617
0.1950 0.1950 0.9206
0.2430 0.2430 0.1575
0.2831 0.2831 0.3985
0.3289 0.3289 0.6461
0.3858 0.3858 0.8961
0.4091 0.4091 0.1264
0.4497 0.4497 0.3676
0.4942 0.4942 0.6077
0.5576 0.5576 0.8319
0.6198 0.6198 0.0580
0.6651 0.6651 0.2945
0.7072 0.7072 0.5397
0.7295 0.7295 0.7675
0.7868 0.7868 0.0176
0.8319 0.8319 0.2642
0.8715 0.8715 0.5055
0.9204 0.9204 0.7440
```


# 5
For KTlO3, a DFT-relaxed cell (GGA-PBE, the Materials Project) gives the calculated powder diffractogram in this record (a wavelength of 1.5418 Å).
Kinematic intensities with the Lorentz-polarization factor, no thermal factor.

Largest 12 diffraction maxima, low angle first, 10 to 90 degrees two-theta:
20.1 deg, intensity 72; 28.6 deg, intensity 100; 35.2 deg, intensity 9; 40.9 deg, intensity 32; 46.0 deg, intensity 35; 50.7 deg, intensity 42; 59.3 deg, intensity 20; 63.3 deg, intensity 17; 67.1 deg, intensity 18; 74.5 deg, intensity 7; 78.1 deg, intensity 8; 81.7 deg, intensity 22

Atomic structure:
```
KTlO3
1.0
4.4106 0.0000 0.0000
0.0000 4.4106 0.0000
0.0000 0.0000 4.4106
K Tl O
1 1 3
direct
0.0000 0.0000 0.0000
0.5000 0.5000 0.5000
0.0000 0.5000 0.5000
0.5000 0.0000 0.5000
0.5000 0.5000 0.0000
```